K3WC4N4OF: calculated XRD peak list (CuKα), based on the GGA+U geometry in the Materials Project.

Structural model:
```
data_K3WC4N4OF
_chemical_formula_sum 'K6 W2 C8 N8 O2 F2'
_cell_length_a 8.083
_cell_length_b 8.274
_cell_length_c 8.712
_cell_angle_alpha 94.38
_cell_angle_beta 100.78
_cell_angle_gamma 92.50
_symmetry_space_group_name_H-M 'P -1'
_symmetry_Int_Tables_number 2
_symmetry_space_group_name_Hall '-P 1'
loop_
_atom_site_label
_atom_site_type_symbol
_atom_site_fract_x
_atom_site_fract_y
_atom_site_fract_z
K1 K 0.203 0.343 0.499
K2 K 0.263 0.767 0.278
K3 K 0.287 0.172 0.991
W1 W 0.256 0.751 0.778
C1 C 0.021 0.871 0.781
C2 C 0.136 0.519 0.817
C3 C 0.347 0.970 0.685
C4 C 0.472 0.617 0.729
N1 N 0.073 0.390 0.827
N2 N 0.104 0.063 0.217
N3 N 0.390 0.096 0.648
N4 N 0.411 0.455 0.291
O1 O 0.349 0.815 0.978
F1 F 0.148 0.677 0.545
```

Peak list (12 most intense, 2θ = 10–90°, in order of falling intensity)
| two_theta | Rel. int. | h k l |
| --- | --- | --- |
| 14.29 | 100 | 0 1 -1 |
| 13.72 | 84 | 1 0 -1 |
| 15.05 | 75 | 1 -1 0 |
| 22.43 | 62 | 2 0 0 |
| 23.76 | 58 | 1 1 -2 |
| 28.76 | 51 | 1 1 2 |
| 21.58 | 50 | 0 2 0 |
| 15.97 | 45 | 1 1 0 |
| 24.78 | 42 | -1 1 2 |
| 16.66 | 38 | 1 0 1 |
| 25.48 | 33 | 1 2 -1 |
| 20.84 | 30 | 0 0 2 |